Structure and theoretical X-ray powder pattern of Na2ScTaSi2SO12 (a GGA-PBE-relaxed structure; Cu Kα).
Kinematic intensities with the Lorentz-polarization factor, no thermal factor.

Principal peaks in the range 15° ≤ 2θ ≤ 90°, by intensity:
two_theta  I (rel.)
19.26  100
30.77  69
19.75  68
30.68  43
27.63  33
22.90  31
19.62  31
34.40  31
46.94  26
24.06  23

Structural model:
```
data_Na2ScTaSi2SO12
_symmetry_space_group_name_H-M 'C 1 c 1'
_symmetry_Int_Tables_number 9
_symmetry_space_group_name_Hall 'C -2yc'
_cell_length_a 15.5397
_cell_length_b 9.0494
_cell_length_c 9.2190
_cell_angle_alpha 90.00
_cell_angle_beta 124.29
_cell_angle_gamma 90.00
loop_
_atom_site_label
_atom_site_fract_x
_atom_site_fract_y
_atom_site_fract_z
Na1 0.0000 0.0528 0.0000
Na2 0.0737 0.2497 0.7368
Sc1 0.4164 0.2595 0.8089
Ta1 0.2145 0.2501 0.1896
Si1 0.1742 0.1052 0.5031
Si2 0.3182 0.4580 0.0049
S1 0.4644 0.1054 0.5018
O1 0.0545 0.3141 0.0140
O2 0.0724 0.1727 0.4844
O3 0.1698 0.0803 0.0240
O4 0.1750 0.1367 0.3229
O5 0.2373 0.3560 0.0256
O6 0.2503 0.4249 0.3339
O7 0.2796 0.1674 0.6697
O8 0.3704 0.1774 0.3428
O9 0.3954 0.4434 0.6763
O10 0.3957 0.3544 0.9848
O11 0.4668 0.1327 0.6597
O12 0.4713 0.0513 0.9769
```